1.
Structure and computed X-ray powder pattern of TiBRh6 (a DFT-relaxed cell (PBE, Alexandria); Cu Kα, 1.54184 Å).
Intensities are scaled so that the largest is 100.

Most intense lines, 10° ≤ 2θ ≤ 80°, low angle first:
2theta	I (rel.)
30.0	30
37.9	25
38.3	100
39.9	45
45.0	67
47.5	27

Structural model:
Unit cell a=4.967 b=4.967 c=4.967 alpha=100.91 beta=100.91 gamma=100.91
Fractional positions:
Ti (0.000, 0.000, 0.000)
B (0.500, 0.500, 0.500)
Rh (0.209, 0.209, 0.608)
Rh (0.209, 0.608, 0.209)
Rh (0.392, 0.791, 0.791)
Rh (0.608, 0.209, 0.209)
Rh (0.791, 0.392, 0.791)
Rh (0.791, 0.791, 0.392)

---

2.
Structure and computed X-ray powder pattern of Ti2ZnB2Rh5 (a DFT-relaxed cell (PBE, Alexandria); Cu Kα, 1.54184 Å).
Intensities are scaled so that the largest is 100.

Most intense lines, 10° ≤ 2θ ≤ 80°, low angle first:
2theta	I (rel.)
29.6	39
36.9	46
40.4	68
43.2	100
44.0	45
46.6	42

Structural model:
Unit cell a=9.202 b=9.202 c=3.022 alpha=90.00 beta=90.00 gamma=90.00
Fractional positions:
Ti (0.175, 0.325, 0.000)
Ti (0.325, 0.825, 0.000)
Ti (0.675, 0.175, 0.000)
Ti (0.825, 0.675, 0.000)
Zn (0.000, 0.000, 0.000)
Zn (0.500, 0.500, 0.000)
B (0.127, 0.627, 0.000)
B (0.373, 0.127, 0.000)
B (0.627, 0.873, 0.000)
B (0.873, 0.373, 0.000)
Rh (0.000, 0.500, 0.500)
Rh (0.072, 0.784, 0.500)
Rh (0.216, 0.072, 0.500)
Rh (0.284, 0.572, 0.500)
Rh (0.428, 0.284, 0.500)
Rh (0.500, 0.000, 0.500)
Rh (0.572, 0.716, 0.500)
Rh (0.716, 0.428, 0.500)
Rh (0.784, 0.928, 0.500)
Rh (0.928, 0.216, 0.500)

---

3.
Structure and computed X-ray powder pattern of TlBRh3 (a DFT-relaxed cell (PBE, Alexandria); Cu Kα, 1.54184 Å).
Intensities are scaled so that the largest is 100.

Most intense lines, 10° ≤ 2θ ≤ 80°, low angle first:
2theta	I (rel.)
33.6	100
37.1	91
39.0	77
40.1	69
41.1	85
67.4	42

Structural model:
Unit cell a=2.895 b=4.724 c=5.752 alpha=82.79 beta=75.53 gamma=72.26
Fractional positions:
Tl (0.000, 0.000, 0.000)
B (0.083, 0.330, 0.500)
Rh (0.381, 0.482, 0.756)
Rh (0.610, 0.520, 0.255)
Rh (0.761, 0.961, 0.514)

---

4.
Structure and computed X-ray powder pattern of TlBRh3 (a DFT-relaxed cell (PBE, Alexandria); Cu Kα, 1.54184 Å).
Intensities are scaled so that the largest is 100.

Most intense lines, 10° ≤ 2θ ≤ 80°, low angle first:
2theta	I (rel.)
34.3	100
36.4	87
37.6	84
38.8	59
42.0	79
48.2	60

Structural model:
Unit cell a=4.965 b=5.716 c=5.335 alpha=90.00 beta=101.06 gamma=90.00
Fractional positions:
Tl (0.129, 0.250, 0.271)
Tl (0.871, 0.750, 0.729)
B (0.408, 0.750, 0.025)
B (0.592, 0.250, 0.975)
Rh (0.128, 0.750, 0.263)
Rh (0.376, 0.501, 0.733)
Rh (0.376, 0.999, 0.733)
Rh (0.624, 0.001, 0.267)
Rh (0.624, 0.499, 0.267)
Rh (0.872, 0.250, 0.737)

---

5.
Structure and computed X-ray powder pattern of TlBRh3 (a DFT-relaxed cell (PBE, Alexandria); Cu Kα, 1.54184 Å).
Intensities are scaled so that the largest is 100.

Most intense lines, 10° ≤ 2θ ≤ 80°, low angle first:
2theta	I (rel.)
24.7	47
33.3	48
37.5	100
39.1	41
42.6	83
45.4	89

Structural model:
Unit cell a=5.258 b=7.203 c=8.094 alpha=90.00 beta=90.00 gamma=90.00
Fractional positions:
Tl (0.000, 0.000, 0.000)
Tl (0.000, 0.500, 0.000)
Tl (0.500, 0.000, 0.500)
Tl (0.500, 0.500, 0.500)
B (0.025, 0.250, 0.458)
B (0.475, 0.750, 0.958)
B (0.525, 0.250, 0.042)
B (0.975, 0.750, 0.542)
Rh (0.010, 0.566, 0.342)
Rh (0.010, 0.934, 0.342)
Rh (0.232, 0.250, 0.226)
Rh (0.268, 0.750, 0.726)
Rh (0.490, 0.066, 0.842)
Rh (0.490, 0.434, 0.842)
Rh (0.510, 0.566, 0.158)
Rh (0.510, 0.934, 0.158)
Rh (0.732, 0.250, 0.274)
Rh (0.768, 0.750, 0.774)
Rh (0.990, 0.066, 0.658)
Rh (0.990, 0.434, 0.658)

---

6.
Structure and computed X-ray powder pattern of TlBRh3 (a DFT-relaxed cell (PBE, Alexandria); Cu Kα, 1.54184 Å).
Intensities are scaled so that the largest is 100.

Most intense lines, 10° ≤ 2θ ≤ 80°, low angle first:
2theta	I (rel.)
33.3	97
37.1	76
37.3	100
38.0	41
43.9	63
45.7	84

Structural model:
Unit cell a=6.404 b=6.404 c=4.868 alpha=108.08 beta=108.08 gamma=52.58
Fractional positions:
Tl (0.149, 0.149, 0.118)
Tl (0.851, 0.851, 0.882)
B (0.498, 0.498, 0.308)
B (0.502, 0.502, 0.692)
Rh (0.117, 0.625, 0.398)
Rh (0.362, 0.362, 0.882)
Rh (0.375, 0.883, 0.602)
Rh (0.625, 0.117, 0.398)
Rh (0.638, 0.638, 0.118)
Rh (0.883, 0.375, 0.602)

---

7.
Structure and computed X-ray powder pattern of TmBRh6 (a DFT-relaxed cell (PBE, Alexandria); Cu Kα, 1.54184 Å).
Intensities are scaled so that the largest is 100.

Most intense lines, 10° ≤ 2θ ≤ 80°, low angle first:
2theta	I (rel.)
36.8	100
41.7	28
44.2	62
45.0	35
63.0	22
68.8	20

Structural model:
Unit cell a=5.134 b=5.134 c=5.134 alpha=103.47 beta=103.47 gamma=103.47
Fractional positions:
Tm (0.000, 0.000, 0.000)
B (0.500, 0.500, 0.500)
Rh (0.217, 0.217, 0.623)
Rh (0.217, 0.623, 0.217)
Rh (0.377, 0.783, 0.783)
Rh (0.623, 0.217, 0.217)
Rh (0.783, 0.377, 0.783)
Rh (0.783, 0.783, 0.377)

---

8.
Structure and computed X-ray powder pattern of Tm3B2Rh5 (a DFT-relaxed cell (PBE, Alexandria); Cu Kα, 1.54184 Å).
Intensities are scaled so that the largest is 100.

Most intense lines, 10° ≤ 2θ ≤ 80°, low angle first:
2theta	I (rel.)
34.6	85
38.1	68
38.2	43
40.5	100
41.4	46
64.2	27

Structural model:
Unit cell a=9.746 b=9.746 c=3.225 alpha=90.00 beta=90.00 gamma=90.00
Fractional positions:
Tm (0.000, 0.000, 0.000)
Tm (0.174, 0.326, 0.000)
Tm (0.326, 0.826, 0.000)
Tm (0.500, 0.500, 0.000)
Tm (0.674, 0.174, 0.000)
Tm (0.826, 0.674, 0.000)
B (0.122, 0.622, 0.000)
B (0.378, 0.122, 0.000)
B (0.622, 0.878, 0.000)
B (0.878, 0.378, 0.000)
Rh (0.000, 0.500, 0.500)
Rh (0.071, 0.771, 0.500)
Rh (0.229, 0.071, 0.500)
Rh (0.271, 0.571, 0.500)
Rh (0.429, 0.271, 0.500)
Rh (0.500, 0.000, 0.500)
Rh (0.571, 0.729, 0.500)
Rh (0.729, 0.429, 0.500)
Rh (0.771, 0.929, 0.500)
Rh (0.929, 0.229, 0.500)